Starting from a GGA-PBE-relaxed structure, the powder diffraction line list of Pr3Sm4Dy5 was calculated for λ = 1.5418 Å (Cu Kα).
Kinematic intensities with the Lorentz-polarization factor, no thermal factor.

Peak list (10 most intense, 2θ = 10–90°, sorted by position)
| Position (°2θ) | I (rel.) |
| --- | --- |
| 28.61 | 43 |
| 29.08 | 35 |
| 29.77 | 100 |
| 30.80 | 36 |
| 31.56 | 58 |
| 32.37 | 68 |
| 32.58 | 31 |
| 33.24 | 62 |
| 43.37 | 29 |
| 59.34 | 24 |

Crystal structure
a b c (Å): 8.6256 8.6256 9.3859
angles (deg): 114.36 114.36 40.72
Atoms (fractional coordinates):
Pr: 0.0000 0.0000 0.0000
Pr: 0.2907 0.2907 0.7684
Pr: 0.7093 0.7093 0.2316
Sm: 0.2908 0.2908 0.1207
Sm: 0.4167 0.4167 0.5558
Sm: 0.5833 0.5833 0.4442
Sm: 0.7092 0.7092 0.8793
Dy: 0.0722 0.0722 0.6968
Dy: 0.1718 0.1718 0.3878
Dy: 0.5000 0.5000 0.0000
Dy: 0.8282 0.8282 0.6122
Dy: 0.9278 0.9278 0.3032